Starting from a GGA-PBE-relaxed structure, the X-ray powder pattern of Ho4Fe29Si5 was calculated for Cu Kα.
Neutral-atom scattering factors, no anomalous dispersion.

Structure:
a = 6.332 Å, b = 6.350 Å, c = 12.662 Å
α = 82.33°, β = 81.44°, γ = 82.27°
Atoms (fractional coordinates):
Ho: 0.150 0.159 0.327
Ho: 0.155 0.153 0.826
Ho: 0.845 0.847 0.174
Ho: 0.850 0.841 0.673
Fe: 0.000 0.500 0.000
Fe: 0.000 0.500 0.500
Fe: 0.155 0.664 0.329
Fe: 0.160 0.160 0.078
Fe: 0.160 0.655 0.829
Fe: 0.164 0.163 0.575
Fe: 0.194 0.809 0.499
Fe: 0.199 0.801 0.000
Fe: 0.202 0.501 0.149
Fe: 0.208 0.499 0.646
Fe: 0.345 0.841 0.170
Fe: 0.349 0.837 0.668
Fe: 0.497 0.810 0.348
Fe: 0.499 0.502 0.250
Fe: 0.500 0.000 0.000
Fe: 0.500 0.199 0.152
Fe: 0.500 0.801 0.848
Fe: 0.501 0.498 0.750
Fe: 0.503 0.190 0.652
Fe: 0.651 0.163 0.332
Fe: 0.655 0.159 0.830
Fe: 0.792 0.501 0.354
Fe: 0.798 0.499 0.851
Fe: 0.801 0.199 0.000
Fe: 0.806 0.191 0.501
Fe: 0.836 0.837 0.425
Fe: 0.840 0.345 0.171
Fe: 0.840 0.840 0.922
Fe: 0.845 0.336 0.671
Si: 0.390 0.423 0.445
Si: 0.398 0.398 0.949
Si: 0.500 0.000 0.500
Si: 0.602 0.602 0.051
Si: 0.610 0.577 0.555

Principal peaks in the range 2θ from 10° to 90°, by angle:
hkl  Position (°2θ)  I (rel.)
1 2 0  30.41  29
2 1 0  30.54  21
1 1 -4  37.59  36
2 -1 4  43.28  28
2 -2 0  43.38  46
0 3 0  43.43  29
0 0 6  43.67  49
2 2 4  43.76  100
2 0 -4  43.84  24
2 2 -8  80.26  23

***

Starting from a GGA-PBE-relaxed structure, the X-ray powder pattern of NaScSnO4 was calculated for Cu Kα.
Neutral-atom scattering factors, no anomalous dispersion.

Structure:
a = 3.175 Å, b = 11.327 Å, c = 9.630 Å
α = 90.00°, β = 90.00°, γ = 90.00°
Atoms (fractional coordinates):
Na: 0.000 0.101 0.000
Na: 0.000 0.899 0.500
Na: 0.500 0.397 0.512
Na: 0.500 0.603 0.012
Sc: 0.500 0.143 0.677
Sc: 0.500 0.364 0.188
Sc: 0.500 0.636 0.688
Sc: 0.500 0.857 0.177
Sn: 0.000 0.137 0.320
Sn: 0.000 0.354 0.841
Sn: 0.000 0.646 0.341
Sn: 0.000 0.863 0.820
O: 0.000 0.035 0.742
O: 0.000 0.267 0.647
O: 0.000 0.321 0.330
O: 0.000 0.406 0.048
O: 0.000 0.594 0.548
O: 0.000 0.679 0.830
O: 0.000 0.733 0.147
O: 0.000 0.965 0.242
O: 0.500 0.097 0.460
O: 0.500 0.173 0.179
O: 0.500 0.234 0.880
O: 0.500 0.466 0.782
O: 0.500 0.534 0.282
O: 0.500 0.766 0.380
O: 0.500 0.827 0.679
O: 0.500 0.903 0.960

Principal peaks in the range 2θ from 10° to 90°, by angle:
hkl  Position (°2θ)  I (rel.)
0 2 1  18.17  100
0 0 2  18.43  76
0 4 0  31.60  47
0 2 3  32.05  83
1 2 1  33.67  97
1 0 2  33.81  47
1 4 2  46.95  49
1 0 4  47.39  32
1 6 1  57.61  23
2 0 0  58.08  50